This entry pairs a crystal structure of CaCd2In6 with its calculated XRD peak list. Radiation: a wavelength of 1.5418 Å. Structure: DFT lattice parameters and positions (PBE).
Lines closer than 0.1° are merged.

Crystal structure
Cell: 8.8864 8.8864 3.3061 Å, 99.71 99.71 68.93°
Atoms (fractional coordinates):
Ca 0.0000 0.0000 0.0000
Cd 0.3732 0.3732 0.8836
Cd 0.6268 0.6268 0.1164
In 0.0319 0.3413 0.6856
In 0.3035 0.6965 0.5000
In 0.3413 0.0319 0.6856
In 0.6587 0.9681 0.3144
In 0.6965 0.3035 0.5000
In 0.9681 0.6587 0.3144

Largest 10 diffraction maxima, by intensity, 15° ≤ 2θ ≤ 90°:
| 2θ (°) | I_rel |
| --- | --- |
| 32.62 | 100.0 |
| 37.65 | 31.7 |
| 32.91 | 30.1 |
| 28.42 | 28.7 |
| 33.14 | 26.6 |
| 41.22 | 22.8 |
| 30.62 | 22.8 |
| 42.15 | 20.3 |
| 40.14 | 18.8 |
| 32.46 | 18.8 |

This entry pairs a crystal structure of BaInSb2 with its calculated XRD peak list. Radiation: a wavelength of 1.5418 Å. Structure: DFT lattice parameters and positions (PBE).
Lines closer than 0.1° are merged.

Crystal structure
Cell: 6.9414 7.1910 12.9005 Å, 90.00 112.10 90.00°
Atoms (fractional coordinates):
Ba 0.1713 0.2475 0.1295
Ba 0.1713 0.7525 0.6295
Ba 0.8287 0.2475 0.3705
Ba 0.8287 0.7525 0.8705
In 0.3146 0.0963 0.8813
In 0.3146 0.9037 0.3813
In 0.6854 0.0963 0.6187
In 0.6854 0.9037 0.1187
Sb 0.1133 0.2641 0.6665
Sb 0.1133 0.7359 0.1665
Sb 0.3757 0.2966 0.4378
Sb 0.3757 0.7034 0.9378
Sb 0.6243 0.2966 0.0622
Sb 0.6243 0.7034 0.5622
Sb 0.8867 0.2641 0.8335
Sb 0.8867 0.7359 0.3335

Largest 10 diffraction maxima, by intensity, 15° ≤ 2θ ≤ 90°:
| 2θ (°) | I_rel |
| --- | --- |
| 26.06 | 100.0 |
| 24.76 | 85.2 |
| 34.64 | 51.1 |
| 27.78 | 48.1 |
| 29.90 | 47.5 |
| 36.37 | 46.3 |
| 37.56 | 42.1 |
| 36.26 | 38.0 |
| 30.75 | 33.8 |
| 25.56 | 29.1 |

This entry pairs a crystal structure of Zr2Be16Zn with its calculated XRD peak list. Radiation: a wavelength of 1.5418 Å. Structure: DFT lattice parameters and positions (PBE).
Lines closer than 0.1° are merged.

Crystal structure
Cell: 5.7394 5.7394 5.7394 Å, 82.82 82.82 82.82°
Atoms (fractional coordinates):
Zr 0.0000 0.0000 0.0000
Zr 0.3205 0.3205 0.3205
Be 0.0047 0.0047 0.4942
Be 0.0047 0.4942 0.0047
Be 0.1652 0.6551 0.6551
Be 0.3161 0.3161 0.8180
Be 0.3161 0.8180 0.3161
Be 0.3664 0.6578 0.9493
Be 0.3664 0.9493 0.6578
Be 0.4942 0.0047 0.0047
Be 0.5551 0.5551 0.5551
Be 0.6551 0.1652 0.6551
Be 0.6551 0.6551 0.1652
Be 0.6578 0.3664 0.9493
Be 0.6578 0.9493 0.3664
Be 0.8180 0.3161 0.3161
Be 0.9493 0.3664 0.6578
Be 0.9493 0.6578 0.3664
Zn 0.7545 0.7545 0.7545

Largest 10 diffraction maxima, by intensity, 15° ≤ 2θ ≤ 90°:
| 2θ (°) | I_rel |
| --- | --- |
| 23.43 | 100.0 |
| 33.81 | 50.0 |
| 41.19 | 32.8 |
| 48.24 | 26.9 |
| 47.92 | 25.2 |
| 49.19 | 20.7 |
| 35.06 | 20.5 |
| 70.36 | 18.0 |
| 24.02 | 16.1 |
| 42.60 | 15.0 |

This entry pairs a crystal structure of Ce3NdIr with its calculated XRD peak list. Radiation: a wavelength of 1.5418 Å. Structure: DFT lattice parameters and positions (PBE).
Lines closer than 0.1° are merged.

Crystal structure
Cell: 7.3742 7.3742 5.8974 Å, 90.00 90.00 120.25°
Atoms (fractional coordinates):
Ce 0.1833 0.8167 0.7500
Ce 0.2406 0.3882 0.7500
Ce 0.3882 0.2406 0.2500
Ce 0.6118 0.7594 0.7500
Ce 0.7594 0.6118 0.2500
Ce 0.8167 0.1833 0.2500
Nd 0.2970 0.7030 0.2500
Nd 0.7030 0.2970 0.7500
Ir 0.0000 0.0000 0.0000
Ir 0.0000 0.0000 0.5000

Largest 10 diffraction maxima, by intensity, 15° ≤ 2θ ≤ 90°:
| 2θ (°) | I_rel |
| --- | --- |
| 31.88 | 100.0 |
| 41.74 | 54.1 |
| 33.48 | 34.3 |
| 37.39 | 23.9 |
| 24.20 | 23.5 |
| 54.85 | 21.4 |
| 37.26 | 17.4 |
| 30.31 | 15.4 |
| 49.44 | 14.8 |
| 39.12 | 12.7 |